Record 1
Calculated PXRD pattern
Compound: TmCu2F6
Radiation: Cu Kα X-rays
Structure: a structure optimized by DFT (PBE)
No peak broadening, texture or thermal motion is included.

Largest 10 diffraction maxima, in order of rising 2θ, 10 to 80 degrees two-theta:
2θ 16.02, I = 36; 2θ 17.03, I = 26; 2θ 23.46, I = 100; 2θ 27.94, I = 45; 2θ 32.90, I = 24; 2θ 38.21, I = 25; 2θ 46.83, I = 31; 2θ 47.99, I = 24; 2θ 56.45, I = 18; 2θ 63.21, I = 17

Cell and atoms:
```
data_TmCu2F6
_cell_length_a 6.3867
_cell_length_b 6.3867
_cell_length_c 5.2070
_cell_angle_alpha 90.00
_cell_angle_beta 90.00
_cell_angle_gamma 120.00
_symmetry_space_group_name_H-M 'P -3 m 1'
_symmetry_Int_Tables_number 164
_symmetry_space_group_name_Hall '-P 3 2"'
loop_
_atom_site_label
_atom_site_fract_x
_atom_site_fract_y
_atom_site_fract_z
_atom_site_occupancy
Tm1 0.0000 0.0000 0.0000 1
Cu1 0.3333 0.6667 0.2391 1
F1 0.1613 0.3226 0.2288 1
```

***

Record 2
Calculated PXRD pattern
Compound: LiCaNb2
Radiation: Cu Kα X-rays
Structure: a structure optimized by DFT (PBE)
No peak broadening, texture or thermal motion is included.

Largest 10 diffraction maxima, in order of rising 2θ, 10 to 80 degrees two-theta:
2θ 15.72, I = 86; 2θ 31.75, I = 43; 2θ 33.60, I = 100; 2θ 40.71, I = 58; 2θ 49.68, I = 47; 2θ 52.52, I = 27; 2θ 67.42, I = 12; 2θ 69.65, I = 16; 2θ 77.33, I = 12; 2θ 78.36, I = 16

Cell and atoms:
```
data_LiCaNb2
_cell_length_a 3.882
_cell_length_b 3.882
_cell_length_c 22.549
_cell_angle_alpha 90.00
_cell_angle_beta 90.00
_cell_angle_gamma 90.00
_symmetry_space_group_name_H-M 'I -4 2 d'
_symmetry_Int_Tables_number 122
_symmetry_space_group_name_Hall 'I -4 2bw'
loop_
_atom_site_label
_atom_site_fract_x
_atom_site_fract_y
_atom_site_fract_z
_atom_site_occupancy
Li1 0.000 0.000 0.000 1
Ca1 0.000 0.000 0.500 1
Nb1 0.240 0.750 0.125 1
```